U2V2O11: theoretical XRD peak list (Cu Ka), based on a cell relaxed with GGA+U.

Structural model:
Cell: 6.199 13.215 7.370 Å, 90.00 120.72 90.00°
Space group P2_1/c (No. 14)
Unique sites:
U (0.159, 0.177, 0.328)
V (0.212, 0.070, 0.854)
O (0.035, 0.012, 0.261)
O (0.171, 0.702, 0.308)
O (0.177, 0.157, 0.014)
O (0.203, 0.154, 0.669)
O (0.484, 0.145, 0.459)
O (0.500, 0.000, 0.000)

Most intense lines, 10° ≤ 2θ ≤ 80°, low angle first:
- 13.40 deg, I = 27, (0 2 0)
- 16.64 deg, I = 31, (1 0 0)
- 17.95 deg, I = 100, (1 1 0)
- 19.41 deg, I = 32, (0 2 1)
- 20.40 deg, I = 25, (1 2 -1)
- 24.27 deg, I = 58, (1 0 -2)
- 28.98 deg, I = 22, (0 1 2)
- 30.52 deg, I = 36, (0 4 1)
- 31.17 deg, I = 32, (1 4 -1)
- 47.73 deg, I = 22, (2 4 -3)